Entry 1:
This entry pairs a crystal structure of Sr3LaTa2Co2O12 with its simulated powder diffractogram. Radiation: Cu Kα. Structure: a DFT-relaxed cell (PBE+U, the Materials Project).
No peak broadening, texture or thermal motion is included.

Most intense lines, 10 to 90 degrees two-theta, sorted by position:
(1 0 1), 16.54°, d = 5.361 Å, rel. 11
(2 0 0), 31.44°, d = 2.845 Å, rel. 51
(1 1 4), 31.54°, d = 2.836 Å, rel. 100
(2 2 0), 45.06°, d = 2.012 Å, rel. 32
(0 0 8), 45.37°, d = 1.999 Å, rel. 15
(3 1 4), 56.04°, d = 1.641 Å, rel. 40
(2 0 8), 56.24°, d = 1.636 Å, rel. 20
(0 4 0), 65.62°, d = 1.423 Å, rel. 10
(2 2 8), 65.86°, d = 1.418 Å, rel. 19
(4 2 0), 74.61°, d = 1.272 Å, rel. 17

Crystal structure
```
Sr3LaTa2Co2O12
1.0
5.6888 0.0000 0.0000
0.0000 5.6928 0.0000
0.0000 0.0000 15.9922
Sr La Ta Co O
6 2 4 4 24
direct
0.0000 0.0000 0.0000
0.0000 0.0000 0.2489
0.0000 0.0000 0.4983
0.5000 0.5000 0.0028
0.5000 0.5000 0.4964
0.5000 0.5000 0.7476
0.0000 0.0000 0.7498
0.5000 0.5000 0.2446
0.0000 0.5000 0.3698
0.0000 0.5000 0.6229
0.0000 0.5000 0.8768
0.5000 0.0000 0.1237
0.0000 0.5000 0.1240
0.5000 0.0000 0.3764
0.5000 0.0000 0.6225
0.5000 0.0000 0.8692
0.0000 0.5000 0.2498
0.0000 0.5000 0.4989
0.0000 0.5000 0.7475
0.0000 0.5000 0.9965
0.2409 0.2492 0.8665
0.2411 0.2514 0.6263
0.2411 0.7486 0.6263
0.2409 0.7508 0.8665
0.2495 0.2574 0.3732
0.2495 0.7426 0.3732
0.2585 0.2521 0.1283
0.2585 0.7479 0.1283
0.5000 0.0000 0.0005
0.5000 0.0000 0.2487
0.5000 0.0000 0.5082
0.5000 0.0000 0.7384
0.7415 0.2521 0.1283
0.7415 0.7479 0.1283
0.7505 0.2574 0.3732
0.7505 0.7426 0.3732
0.7591 0.2492 0.8665
0.7589 0.2514 0.6263
0.7589 0.7486 0.6263
0.7591 0.7508 0.8665
```

Entry 2:
This entry pairs a crystal structure of SrLaTaCoO6 with its simulated powder diffractogram. Radiation: Cu Kα. Structure: a DFT-relaxed cell (PBE+U, the Materials Project).
No peak broadening, texture or thermal motion is included.

Most intense lines, 10 to 90 degrees two-theta, sorted by position:
(1 0 2), 19.11°, d = 4.644 Å, rel. 10
(1 1 0), 31.46°, d = 2.844 Å, rel. 100
(0 1 10), 37.06°, d = 2.426 Å, rel. 5
(0 2 8), 45.08°, d = 2.011 Å, rel. 30
(0 1 16), 55.92°, d = 1.644 Å, rel. 9
(3 0 0), 56.03°, d = 1.641 Å, rel. 30
(2 0 16), 65.60°, d = 1.423 Å, rel. 9
(2 2 0), 65.72°, d = 1.421 Å, rel. 9
(1 3 8), 74.62°, d = 1.272 Å, rel. 16
(4 0 8), 83.27°, d = 1.160 Å, rel. 5

Crystal structure
```
SrLaTaCoO6
1.0
5.6831 0.0000 0.0000
-2.8416 4.9217 0.0000
0.0000 0.0000 27.9140
Sr La Ta Co O
6 6 6 6 36
direct
0.0000 0.0000 0.0000
0.0000 0.0000 0.2511
0.3333 0.6667 0.0877
0.3333 0.6667 0.5830
0.6667 0.3333 0.4179
0.6667 0.3333 0.9067
0.0000 0.0000 0.5002
0.0000 0.0000 0.7647
0.3333 0.6667 0.3344
0.3333 0.6667 0.8337
0.6667 0.3333 0.1684
0.6667 0.3333 0.6675
0.0000 0.0000 0.3761
0.3333 0.6667 0.2092
0.3333 0.6667 0.7077
0.3333 0.6667 0.9572
0.6667 0.3333 0.0452
0.6667 0.3333 0.5421
0.0000 0.0000 0.1258
0.0000 0.0000 0.6260
0.0000 0.0000 0.8753
0.3333 0.6667 0.4591
0.6667 0.3333 0.2929
0.6667 0.3333 0.7935
0.0023 0.5012 0.0016
0.0044 0.5022 0.7497
0.0045 0.5023 0.2501
0.1642 0.3283 0.4170
0.1642 0.8358 0.4170
0.1692 0.3384 0.6679
0.1692 0.8308 0.6679
0.1698 0.3397 0.1679
0.1698 0.8302 0.1679
0.1710 0.3421 0.9178
0.1710 0.8290 0.9178
0.3259 0.1629 0.8312
0.3277 0.1638 0.3348
0.3387 0.1693 0.5835
0.3435 0.1718 0.0847
0.4977 0.5023 0.2501
0.4978 0.5022 0.7497
0.4977 0.9955 0.2501
0.4978 0.9956 0.7497
0.4988 0.5012 0.0016
0.4988 0.9977 0.0016
0.5026 0.0052 0.5012
0.5026 0.4974 0.5012
0.6579 0.8290 0.9178
0.6603 0.8302 0.1679
0.6616 0.8308 0.6679
0.6717 0.8358 0.4170
0.8282 0.1718 0.0847
0.8282 0.6565 0.0847
0.8307 0.1693 0.5835
0.8307 0.6613 0.5835
0.8362 0.1638 0.3348
0.8362 0.6723 0.3348
0.8371 0.1629 0.8312
0.8371 0.6741 0.8312
0.9948 0.4974 0.5012
```

Entry 3:
This entry pairs a crystal structure of Sr3LaTa2Co2O12 with its simulated powder diffractogram. Radiation: Cu Kα. Structure: a DFT-relaxed cell (PBE+U, the Materials Project).
No peak broadening, texture or thermal motion is included.

Most intense lines, 10 to 90 degrees two-theta, sorted by position:
(0 1 1), 16.48°, d = 5.379 Å, rel. 11
(2 0 0), 31.31°, d = 2.857 Å, rel. 51
(-1 1 4), 31.53°, d = 2.838 Å, rel. 100
(2 2 0), 44.87°, d = 2.020 Å, rel. 32
(0 0 8), 45.51°, d = 1.993 Å, rel. 16
(3 1 4), 55.87°, d = 1.646 Å, rel. 40
(0 2 8), 56.28°, d = 1.635 Å, rel. 20
(4 0 0), 65.33°, d = 1.428 Å, rel. 10
(2 2 8), 65.83°, d = 1.419 Å, rel. 19
(4 0 8), 83.21°, d = 1.161 Å, rel. 9

Crystal structure
```
Sr3LaTa2Co2O12
1.0
5.7107 0.0000 0.0000
-0.0017 5.7156 0.0000
-0.0080 -0.0018 15.9458
Sr La Ta Co O
6 2 4 4 24
direct
0.0000 0.0000 0.0000
0.9997 0.0028 0.2464
0.0009 0.0053 0.7495
0.4987 0.5029 0.2437
0.4993 0.5044 0.4991
0.4998 0.5000 0.7523
0.0004 0.0194 0.4980
0.4959 0.4933 0.0010
0.0004 0.5020 0.1232
0.4997 0.0010 0.3705
0.5002 0.0005 0.6238
0.4996 0.9994 0.8777
0.0001 0.4997 0.8705
0.9996 0.5038 0.6274
0.4999 0.0014 0.1245
0.9992 0.5042 0.3784
0.0050 0.4869 0.4977
0.0174 0.4947 0.0000
0.2436 0.2369 0.3771
0.2439 0.7480 0.1232
0.2457 0.2370 0.6210
0.2516 0.2408 0.8701
0.2544 0.2666 0.1254
0.2543 0.7555 0.3789
0.2566 0.7555 0.6202
0.2674 0.7430 0.8743
0.4892 0.0129 0.9986
0.4906 0.0052 0.4988
0.5081 0.9965 0.2506
0.5080 0.9984 0.7480
0.7336 0.2569 0.8762
0.7444 0.2473 0.3804
0.7440 0.2468 0.6180
0.7451 0.7363 0.1164
0.7476 0.7579 0.8782
0.7547 0.2577 0.1202
0.7550 0.7671 0.6159
0.7555 0.7671 0.3832
0.9920 0.5065 0.2531
0.9931 0.5035 0.7410
```

Entry 4:
This entry pairs a crystal structure of SrLa3Ti2Co2O12 with its simulated powder diffractogram. Radiation: Cu Kα. Structure: a DFT-relaxed cell (PBE+U, the Materials Project).
No peak broadening, texture or thermal motion is included.

Most intense lines, 10 to 90 degrees two-theta, sorted by position:
(0 0 2), 22.59°, d = 3.936 Å, rel. 12
(2 0 0), 32.17°, d = 2.783 Å, rel. 100
(2 0 2), 39.67°, d = 2.272 Å, rel. 20
(2 2 0), 46.13°, d = 1.968 Å, rel. 34
(2 2 2), 51.95°, d = 1.760 Å, rel. 6
(2 0 4), 57.35°, d = 1.607 Å, rel. 38
(4 0 0), 67.29°, d = 1.391 Å, rel. 20
(1 1 6), 76.48°, d = 1.246 Å, rel. 5
(4 2 0), 76.59°, d = 1.244 Å, rel. 11
(4 0 4), 85.46°, d = 1.136 Å, rel. 7

Crystal structure
```
SrLa3Ti2Co2O12
1.0
5.5630 0.0000 0.0000
0.0000 5.5630 0.0000
0.0000 0.0000 7.8786
Sr La Ti Co O
1 3 2 2 12
direct
0.0000 0.0000 0.0000
0.0000 0.0000 0.5000
0.5000 0.5000 0.0000
0.5000 0.5000 0.5000
0.0000 0.5000 0.2485
0.5000 0.0000 0.7515
0.0000 0.5000 0.7492
0.5000 0.0000 0.2508
0.0000 0.5000 0.5004
0.0000 0.5000 0.9976
0.2525 0.2555 0.2570
0.2525 0.7445 0.2570
0.2555 0.2525 0.7430
0.2555 0.7475 0.7430
0.5000 0.0000 0.0024
0.5000 0.0000 0.4996
0.7445 0.2525 0.7430
0.7445 0.7475 0.7430
0.7475 0.2555 0.2570
0.7475 0.7445 0.2570
```